Computed X-ray powder pattern of Cs2NaCuTe2 for Cu Kα (weighted mean of Kα1 and Kα2), from a crystal structure in Alexandria, relaxed with PBE.
Kinematic intensities with the Lorentz-polarization factor, no thermal factor.

Top 6 peaks for 10 to 80 degrees two-theta, sorted by position:
3.657 Å, 2θ = 24.34°, intensity 285, (2 0 0); 3.620 Å, 2θ = 24.59°, intensity 317, (0 0 2); 3.238 Å, 2θ = 27.55°, intensity 1000, (1 4 1); 2.573 Å, 2θ = 34.88°, intensity 492, (2 0 2); 2.008 Å, 2θ = 45.16°, intensity 300, (1 4 3); 1.931 Å, 2θ = 47.07°, intensity 257, (1 8 1)

```
data_Cs2NaCuTe2
_space_group_name_H-M_alt 'I b a m'
_space_group_IT_number 72
_space_group_name_Hall '-I 2 2c'
_cell_length_a 7.314
_cell_length_b 16.664
_cell_length_c 7.239
_cell_angle_alpha 90.00
_cell_angle_beta 90.00
_cell_angle_gamma 90.00
loop_
_atom_site_label
_atom_site_type_symbol
_atom_site_fract_x
_atom_site_fract_y
_atom_site_fract_z
_atom_site_occupancy
Cs1 Cs 0.247 0.166 0.000 1
Na1 Na 0.000 0.000 0.250 1
Cu1 Cu 0.000 0.500 0.250 1
Te1 Te 0.213 0.414 0.000 1
```